The following is a theoretical powder diffraction line list of Tb4Ho7Er. It was derived from a crystal structure in Alexandria, relaxed with GGA-PBE, using Cu Kα (λ = 1.5418 Å).

Atomic structure:
```
12
Lattice="6.455 0.000 0.000 0.936 6.674 0.000 2.042 0.389 8.744" Properties=species:S:1:pos:R:3 pbc="T T T"
Tb 1.767 2.165 2.482
Tb 4.432 6.161 6.043
Tb 5.000 0.902 2.701
Tb 7.665 4.898 6.262
Ho 2.259 2.049 8.294
Ho 2.677 5.477 3.139
Ho 3.615 2.865 5.361
Ho 3.227 0.000 0.000
Ho 5.817 4.198 3.383
Ho 6.755 1.586 5.606
Ho 7.173 5.014 0.451
Er 3.695 3.337 0.000
```

Largest 8 diffraction maxima, low angle first, 5° ≤ 2θ ≤ 70°:
2θ/deg  I_rel
30.7  34.6
31.4  37.4
32.0  100.0
32.5  51.0
32.7  32.7
33.0  18.4
47.3  12.7
57.7  19.9